Computed PXRD pattern
Compound: Ac2NiHIr
Radiation: Cu Kα (weighted mean of Kα1 and Kα2)
Structure: a cell relaxed with PBE
Kinematic intensities with the Lorentz-polarization factor, no thermal factor.

Crystal structure
a b c (Å): 6.662 4.261 8.209
angles (deg): 90.00 108.32 90.00
Fractional positions:
Ac1 0.225 0.250 0.429
Ac2 0.248 0.250 0.944
Ac3 0.752 0.750 0.056
Ac4 0.775 0.750 0.571
Ni1 0.404 0.750 0.229
Ni2 0.596 0.250 0.771
H1 0.156 0.750 0.149
H2 0.844 0.250 0.851
Ir1 0.336 0.750 0.710
Ir2 0.664 0.250 0.290

Top 10 peaks for 5 to 70 degrees two-theta, low angle first:
- 25.20 deg, rel. 25
- 28.22 deg, rel. 41
- 30.29 deg, rel. 22
- 30.50 deg, rel. 20
- 31.07 deg, rel. 100
- 37.06 deg, rel. 41
- 37.23 deg, rel. 44
- 42.43 deg, rel. 27
- 44.13 deg, rel. 24
- 48.16 deg, rel. 19



Computed PXRD pattern
Compound: Ca2Zn7Pt
Radiation: Cu Kα (weighted mean of Kα1 and Kα2)
Structure: a cell relaxed with PBE
Kinematic intensities with the Lorentz-polarization factor, no thermal factor.

Crystal structure
a b c (Å): 4.069 4.069 11.409
angles (deg): 90.00 90.00 90.00
Fractional positions:
Ca1 0.000 0.500 0.249
Ca2 0.500 0.000 0.751
Zn1 0.000 0.000 0.000
Zn2 0.000 0.000 0.500
Zn3 0.000 0.500 0.641
Zn4 0.000 0.500 0.860
Zn5 0.500 0.000 0.140
Zn6 0.500 0.000 0.359
Zn7 0.500 0.500 0.500
Pt1 0.500 0.500 0.000

Top 10 peaks for 5 to 70 degrees two-theta, low angle first:
- 7.75 deg, rel. 37
- 15.53 deg, rel. 41
- 23.21 deg, rel. 31
- 32.22 deg, rel. 26
- 34.92 deg, rel. 100
- 44.53 deg, rel. 51
- 44.74 deg, rel. 58
- 45.58 deg, rel. 22
- 64.80 deg, rel. 16
- 65.62 deg, rel. 14



Computed PXRD pattern
Compound: Li4CdN
Radiation: Cu Kα (weighted mean of Kα1 and Kα2)
Structure: a cell relaxed with PBE
Kinematic intensities with the Lorentz-polarization factor, no thermal factor.

Crystal structure
a b c (Å): 3.617 8.494 6.090
angles (deg): 90.00 90.00 90.00
Fractional positions:
Li1 0.000 0.002 0.168
Li2 0.000 0.228 0.504
Li3 0.000 0.772 0.496
Li4 0.000 0.998 0.832
Li5 0.500 0.002 0.332
Li6 0.500 0.228 0.996
Li7 0.500 0.772 0.004
Li8 0.500 0.998 0.668
Cd1 0.000 0.500 0.000
Cd2 0.500 0.500 0.500
N1 0.000 0.000 0.500
N2 0.500 0.000 0.000

Top 10 peaks for 5 to 70 degrees two-theta, low angle first:
- 10.42 deg, rel. 100
- 20.92 deg, rel. 51
- 28.70 deg, rel. 25
- 29.33 deg, rel. 23
- 30.61 deg, rel. 73
- 31.21 deg, rel. 24
- 35.79 deg, rel. 41
- 36.30 deg, rel. 19
- 43.21 deg, rel. 25
- 52.83 deg, rel. 18



Computed PXRD pattern
Compound: CeLuAlZn
Radiation: Cu Kα (weighted mean of Kα1 and Kα2)
Structure: a cell relaxed with PBE
Kinematic intensities with the Lorentz-polarization factor, no thermal factor.

Crystal structure
a b c (Å): 5.059 5.059 5.059
angles (deg): 60.00 60.00 60.00
Fractional positions:
Ce1 0.000 0.000 0.000
Lu1 0.500 0.500 0.500
Al1 0.250 0.250 0.250
Zn1 0.750 0.750 0.750

Top 10 peaks for 5 to 70 degrees two-theta, low angle first:
- 21.51 deg, rel. 4
- 24.89 deg, rel. 33
- 35.49 deg, rel. 100
- 41.88 deg, rel. 2
- 43.83 deg, rel. 10
- 51.06 deg, rel. 18
- 56.02 deg, rel. 1
- 57.61 deg, rel. 14
- 63.72 deg, rel. 36
- 68.09 deg, rel. 1